Diffraction record for Ba2MgAl12Pd3. The X-ray diffraction stick pattern is simulated, not measured: it uses a cell relaxed with GGA-PBE and λ = 1.5418 Å (Cu Kα).

Structure:
Cell lengths 8.1519, 8.1519, 8.1519 Å; angles 70.65, 70.65, 70.65 degrees
Element x y z (fractional)
1 Ba 0.1022 0.1022 0.1022
2 Ba 0.8978 0.8978 0.8978
3 Mg 0.5000 0.5000 0.5000
4 Al 0.1478 0.6294 0.6294
5 Al 0.2634 0.2634 0.5978
6 Al 0.2634 0.5978 0.2634
7 Al 0.3706 0.3706 0.8522
8 Al 0.3706 0.8522 0.3706
9 Al 0.4022 0.7366 0.7366
10 Al 0.5978 0.2634 0.2634
11 Al 0.6294 0.1478 0.6294
12 Al 0.6294 0.6294 0.1478
13 Al 0.7366 0.4022 0.7366
14 Al 0.7366 0.7366 0.4022
15 Al 0.8522 0.3706 0.3706
16 Pd 0.0000 0.5000 0.5000
17 Pd 0.5000 0.0000 0.5000
18 Pd 0.5000 0.5000 0.0000

Peak list (6 most intense, 15 to 90 degrees two-theta, by angle)
2θ/deg  d/Å  I_rel
22.33  3.981  100.0
23.90  3.724  30.7
38.20  2.356  45.8
44.70  2.027  28.7
45.60  1.989  21.9
60.24  1.536  23.4